Entry 1:
# PrY2Ga3Ni3
Computed X-ray diffraction stick pattern, Cu Kα. Input: a DFT-relaxed cell (GGA-PBE, OQMD).
No peak broadening, texture or thermal motion is included.

Structural model:
a = 3.792 Å, b = 12.264 Å, c = 7.141 Å
α = 90.00°, β = 90.00°, γ = 90.00°
Space group Amm2 (No. 38)
One atom of each set of equivalent atoms:
Pr (0.000, 0.000, 0.000) [2 per cell]
Y (0.000, 0.206, 0.623) [4 per cell]
Ga (0.500, 0.000, 0.652) [2 per cell]
Ga (0.500, 0.125, 0.299) [4 per cell]
Ni (0.000, 0.000, 0.417) [2 per cell]
Ni (0.500, 0.170, 0.915) [4 per cell]

Most intense lines, 10 to 80 degrees two-theta, by intensity:
| index | 2θ (°) | I/Imax |
| --- | --- | --- |
| 1 3 1 | 34.6 | 100.0 |
| 1 2 2 | 37.6 | 94.9 |
| 1 4 0 | 37.7 | 48.7 |
| 1 0 2 | 34.5 | 47.3 |
| 2 0 0 | 48.0 | 37.7 |
| 0 1 3 | 38.5 | 31.9 |
| 0 4 2 | 38.7 | 29.1 |
| 2 4 2 | 63.3 | 23.0 |
| 0 5 1 | 38.8 | 21.4 |
| 0 3 3 | 44.0 | 20.4 |
| 1 4 2 | 45.8 | 20.4 |
| 0 6 0 | 44.3 | 16.2 |


Entry 2:
# ScGa2NiPt4
Computed X-ray diffraction stick pattern, Cu Kα. Input: a DFT-relaxed cell (GGA-PBE, OQMD).
No peak broadening, texture or thermal motion is included.

Structural model:
a = 4.054 Å, b = 4.054 Å, c = 7.322 Å
α = 90.00°, β = 90.00°, γ = 90.00°
Space group P4/mmm (No. 123)
One atom of each set of equivalent atoms:
Sc (0.000, 0.000, 0.000) [1 per cell]
Ga (0.000, 0.000, 0.500) [1 per cell]
Ga (0.500, 0.500, 0.000) [1 per cell]
Ni (0.500, 0.500, 0.500) [1 per cell]
Pt (0.000, 0.500, 0.258) [4 per cell]

Most intense lines, 10 to 80 degrees two-theta, by intensity:
| index | 2θ (°) | I/Imax |
| --- | --- | --- |
| 1 1 2 | 39.9 | 100.0 |
| 2 0 0 | 44.7 | 36.6 |
| 3 1 2 | 79.2 | 27.1 |
| 1 1 0 | 31.2 | 23.9 |
| 0 0 2 | 24.3 | 21.8 |
| 2 0 4 | 69.1 | 19.3 |
| 0 0 4 | 49.8 | 12.9 |
| 2 0 2 | 51.5 | 12.3 |
| 2 2 0 | 65.1 | 11.9 |
| 1 1 4 | 60.0 | 7.7 |
| 2 2 2 | 70.6 | 5.0 |
| 3 1 0 | 73.9 | 4.5 |


Entry 3:
# ScGaNiPt
Computed X-ray diffraction stick pattern, Cu Kα. Input: a DFT-relaxed cell (GGA-PBE, OQMD).
No peak broadening, texture or thermal motion is included.

Structural model:
a = 4.2060 Å, b = 4.2060 Å, c = 8.4071 Å
α = 90.00°, β = 90.00°, γ = 120.00°
Space group P-6m2 (No. 187)
One atom of each set of equivalent atoms:
Sc (0.0000, 0.0000, 0.0000) [1 per cell]
Sc (0.3333, 0.6667, 0.5000) [1 per cell]
Ga (0.6667, 0.3333, 0.2320) [2 per cell]
Ni (0.3333, 0.6667, 0.1565) [2 per cell]
Pt (0.0000, 0.0000, 0.3307) [2 per cell]

Most intense lines, 10 to 80 degrees two-theta, by intensity:
| index | 2θ (°) | I/Imax |
| --- | --- | --- |
| 1 0 3 | 40.6 | 100.0 |
| 1 1 0 | 43.0 | 79.2 |
| 1 0 0 | 24.4 | 44.5 |
| 2 0 3 | 60.6 | 35.4 |
| 2 1 3 | 77.2 | 32.2 |
| 0 0 2 | 21.1 | 27.5 |
| 1 0 1 | 26.7 | 26.5 |
| 1 1 2 | 48.4 | 19.3 |
| 2 0 0 | 50.1 | 16.3 |
| 1 0 6 | 72.2 | 15.9 |
| 1 0 2 | 32.5 | 12.9 |
| 3 0 0 | 78.8 | 12.8 |


Entry 4:
# ScGaNiPt
Computed X-ray diffraction stick pattern, Cu Kα. Input: a DFT-relaxed cell (GGA-PBE, OQMD).
No peak broadening, texture or thermal motion is included.

Structural model:
a = 4.2035 Å, b = 4.2035 Å, c = 8.4044 Å
α = 90.00°, β = 90.00°, γ = 120.00°
Space group P-3m1 (No. 164)
One atom of each set of equivalent atoms:
Sc (0.3333, 0.6667, 0.2618) [2 per cell]
Ga (0.0000, 0.0000, 0.0000) [1 per cell]
Ga (0.0000, 0.0000, 0.5000) [1 per cell]
Ni (0.3333, 0.6667, 0.5746) [2 per cell]
Pt (0.3333, 0.6667, 0.8954) [2 per cell]

Most intense lines, 10 to 80 degrees two-theta, by intensity:
| index | 2θ (°) | I/Imax |
| --- | --- | --- |
| 1 0 3 | 40.6 | 100.0 |
| 1 1 0 | 43.0 | 97.3 |
| 1 0 2 | 32.5 | 50.9 |
| 0 0 1 | 10.5 | 50.9 |
| 0 1 1 | 26.7 | 47.2 |
| 0 2 3 | 60.7 | 33.5 |
| 2 1 3 | 77.3 | 31.0 |
| 0 1 6 | 72.3 | 25.4 |
| 1 0 4 | 50.1 | 21.7 |
| 0 0 2 | 21.1 | 19.3 |
| 1 0 0 | 24.5 | 18.5 |
| 3 0 0 | 78.9 | 15.6 |


Entry 5:
# Ta2Ga2NiPt
Computed X-ray diffraction stick pattern, Cu Kα. Input: a DFT-relaxed cell (GGA-PBE, OQMD).
No peak broadening, texture or thermal motion is included.

Structural model:
a = 7.252 Å, b = 4.170 Å, c = 13.845 Å
α = 90.00°, β = 99.73°, γ = 90.00°
Space group Pm (No. 6)
One atom of each set of equivalent atoms:
Ta (0.000, 0.000, 0.000) [1 per cell]
Ta (0.007, 0.500, 0.492) [1 per cell]
Ta (0.237, 0.000, 0.737) [1 per cell]
Ta (0.246, 0.500, 0.242) [1 per cell]
Ta (0.484, 0.000, 0.484) [1 per cell]
Ta (0.499, 0.500, 0.999) [1 per cell]
Ta (0.744, 0.000, 0.236) [1 per cell]
Ta (0.756, 0.500, 0.740) [1 per cell]
Ga (0.121, 0.500, 0.860) [1 per cell]
Ga (0.128, 0.000, 0.362) [1 per cell]
Ga (0.361, 0.500, 0.610) [1 per cell]
Ga (0.373, 0.000, 0.125) [1 per cell]
Ga (0.609, 0.500, 0.361) [1 per cell]
Ga (0.621, 0.000, 0.865) [1 per cell]
Ga (0.876, 0.500, 0.126) [1 per cell]
Ga (0.881, 0.000, 0.617) [1 per cell]
Ni (0.060, 0.000, 0.182) [1 per cell]
Ni (0.060, 0.500, 0.676) [1 per cell]
Ni (0.306, 0.500, 0.425) [1 per cell]
Ni (0.558, 0.500, 0.180) [1 per cell]
Pt (0.309, 0.000, 0.931) [1 per cell]
Pt (0.558, 0.000, 0.675) [1 per cell]
Pt (0.809, 0.000, 0.427) [1 per cell]
Pt (0.812, 0.500, 0.932) [1 per cell]

Most intense lines, 10 to 80 degrees two-theta, by intensity:
| index | 2θ (°) | I/Imax |
| --- | --- | --- |
| 3 1 -1 | 43.3 | 100.0 |
| 1 1 1 | 26.1 | 73.7 |
| 0 2 0 | 43.4 | 50.0 |
| 3 3 -1 | 79.5 | 32.6 |
| 2 2 -2 | 51.4 | 23.5 |
| 2 2 -6 | 63.1 | 16.3 |
| 6 0 -2 | 79.3 | 16.0 |
| 1 1 -3 | 30.3 | 14.0 |
| 4 0 0 | 51.1 | 11.8 |
| 4 2 0 | 69.2 | 9.5 |
| 4 0 4 | 62.6 | 8.0 |
| 2 0 2 | 30.1 | 6.9 |


Entry 6:
# YGaNiPt
Computed X-ray diffraction stick pattern, Cu Kα. Input: a DFT-relaxed cell (GGA-PBE, OQMD).
No peak broadening, texture or thermal motion is included.

Structural model:
a = 4.2897 Å, b = 4.2897 Å, c = 8.9744 Å
α = 90.00°, β = 90.00°, γ = 120.00°
Space group P6_3mc (No. 186)
One atom of each set of equivalent atoms:
Y (0.3333, 0.6667, 0.0000) [2 per cell]
Ga (0.0000, 0.0000, 0.2563) [2 per cell]
Ni (0.3333, 0.6667, 0.3230) [2 per cell]
Pt (0.3333, 0.6667, 0.6722) [2 per cell]

Most intense lines, 10 to 80 degrees two-theta, by intensity:
| index | 2θ (°) | I/Imax |
| --- | --- | --- |
| 1 0 3 | 38.6 | 100.0 |
| 1 1 0 | 42.1 | 77.6 |
| 1 0 1 | 26.0 | 30.1 |
| 2 0 3 | 58.5 | 29.4 |
| 2 1 3 | 74.7 | 28.2 |
| 0 0 2 | 19.8 | 26.7 |
| 1 0 0 | 24.0 | 19.6 |
| 1 1 2 | 47.0 | 17.7 |
| 1 0 6 | 67.5 | 17.0 |
| 3 0 0 | 77.0 | 12.8 |
| 1 0 2 | 31.3 | 11.0 |
| 1 1 6 | 77.9 | 10.2 |


Entry 7:
# GaRe5Ni2
Computed X-ray diffraction stick pattern, Cu Kα. Input: a DFT-relaxed cell (GGA-PBE, OQMD).
No peak broadening, texture or thermal motion is included.

Structural model:
a = 4.371 Å, b = 5.336 Å, c = 9.429 Å
α = 90.00°, β = 90.00°, γ = 90.00°
Space group Amm2 (No. 38)
One atom of each set of equivalent atoms:
Ga (0.000, 0.000, 0.000) [2 per cell]
Re (0.000, 0.246, 0.755) [4 per cell]
Re (0.500, 0.000, 0.347) [2 per cell]
Re (0.500, 0.243, 0.094) [4 per cell]
Ni (0.000, 0.000, 0.505) [2 per cell]
Ni (0.500, 0.000, 0.839) [2 per cell]

Most intense lines, 10 to 80 degrees two-theta, by intensity:
| index | 2θ (°) | I/Imax |
| --- | --- | --- |
| 1 2 2 | 44.2 | 100.0 |
| 1 0 4 | 43.6 | 59.4 |
| 2 0 0 | 41.3 | 42.4 |
| 0 2 2 | 38.8 | 29.5 |
| 3 2 2 | 77.3 | 19.2 |
| 2 2 2 | 57.9 | 18.4 |
| 0 2 6 | 69.4 | 17.8 |
| 1 0 2 | 27.8 | 17.4 |
| 3 0 4 | 76.9 | 11.7 |
| 0 0 4 | 38.2 | 10.0 |
| 0 0 2 | 18.8 | 9.7 |
| 0 4 0 | 70.6 | 8.5 |


Entry 8:
# Ga5ReNi2
Computed X-ray diffraction stick pattern, Cu Kα. Input: a DFT-relaxed cell (GGA-PBE, OQMD).
No peak broadening, texture or thermal motion is included.

Structural model:
a = 4.384 Å, b = 5.479 Å, c = 9.349 Å
α = 90.00°, β = 90.00°, γ = 90.00°
Space group Amm2 (No. 38)
One atom of each set of equivalent atoms:
Ga (0.000, 0.000, 0.000) [2 per cell]
Ga (0.000, 0.244, 0.264) [4 per cell]
Ga (0.500, 0.242, 0.584) [4 per cell]
Re (0.500, 0.000, 0.331) [2 per cell]
Ni (0.000, 0.000, 0.521) [2 per cell]
Ni (0.500, 0.000, 0.851) [2 per cell]

Most intense lines, 10 to 80 degrees two-theta, by intensity:
| index | 2θ (°) | I/Imax |
| --- | --- | --- |
| 1 2 2 | 43.5 | 100.0 |
| 1 0 4 | 43.9 | 38.2 |
| 2 0 0 | 41.2 | 36.8 |
| 3 2 2 | 76.7 | 20.3 |
| 0 2 2 | 38.1 | 20.0 |
| 0 0 4 | 38.5 | 16.3 |
| 0 1 1 | 18.8 | 14.1 |
| 1 1 1 | 27.8 | 14.1 |
| 0 2 6 | 69.4 | 13.4 |
| 2 2 2 | 57.3 | 11.9 |
| 2 0 4 | 57.7 | 9.8 |
| 0 4 0 | 68.5 | 7.7 |


Entry 9:
# Ga2ReNi
Computed X-ray diffraction stick pattern, Cu Kα. Input: a DFT-relaxed cell (GGA-PBE, OQMD).
No peak broadening, texture or thermal motion is included.

Structural model:
a = 4.484 Å, b = 9.468 Å, c = 5.249 Å
α = 90.00°, β = 90.00°, γ = 90.00°
Space group Ama2 (No. 40)
One atom of each set of equivalent atoms:
Ga (0.250, 0.081, 0.000) [4 per cell]
Ga (0.250, 0.319, 0.239) [4 per cell]
Re (0.250, 0.065, 0.497) [4 per cell]
Ni (0.250, 0.325, 0.716) [4 per cell]

Most intense lines, 10 to 80 degrees two-theta, by intensity:
| index | 2θ (°) | I/Imax |
| --- | --- | --- |
| 1 2 2 | 44.3 | 100.0 |
| 1 4 0 | 43.2 | 86.8 |
| 2 0 0 | 40.2 | 56.8 |
| 0 2 2 | 39.2 | 47.6 |
| 0 1 1 | 19.3 | 45.5 |
| 2 2 2 | 57.5 | 31.1 |
| 3 2 2 | 76.0 | 19.7 |
| 3 4 0 | 75.2 | 18.0 |
| 0 6 2 | 69.5 | 15.8 |
| 1 3 1 | 38.9 | 15.6 |
| 1 2 0 | 27.4 | 15.1 |
| 0 2 0 | 18.7 | 14.8 |


Entry 10:
# GaNi2S3
Computed X-ray diffraction stick pattern, Cu Kα. Input: a DFT-relaxed cell (GGA-PBE, OQMD).
No peak broadening, texture or thermal motion is included.

Structural model:
a = 6.377 Å, b = 10.982 Å, c = 6.308 Å
α = 90.00°, β = 109.54°, γ = 90.00°
Space group Cc (No. 9)
One atom of each set of equivalent atoms:
Ga (0.000, 0.087, 0.000) [4 per cell]
Ni (0.004, 0.251, 0.510) [4 per cell]
Ni (0.017, 0.416, 0.012) [4 per cell]
S (0.115, 0.417, 0.379) [4 per cell]
S (0.140, 0.258, 0.878) [4 per cell]
S (0.144, 0.089, 0.393) [4 per cell]

Most intense lines, 10 to 80 degrees two-theta, by intensity:
| index | 2θ (°) | I/Imax |
| --- | --- | --- |
| 1 3 -1 | 29.9 | 100.0 |
| 0 0 2 | 30.1 | 49.9 |
| 2 0 0 | 29.7 | 49.7 |
| 3 3 -1 | 49.6 | 39.1 |
| 1 3 -3 | 50.0 | 38.7 |
| 0 6 0 | 49.8 | 38.6 |
| 3 3 1 | 59.1 | 25.5 |
| 2 0 -2 | 34.7 | 21.8 |
| 2 0 -4 | 59.4 | 18.5 |
| 4 0 -4 | 73.1 | 16.9 |
| 0 6 2 | 59.3 | 12.8 |
| 3 3 -3 | 59.2 | 12.8 |


Entry 11:
# GaNi2SeS2
Computed X-ray diffraction stick pattern, Cu Kα. Input: a DFT-relaxed cell (GGA-PBE, OQMD).
No peak broadening, texture or thermal motion is included.

Structural model:
a = 6.502 Å, b = 11.154 Å, c = 6.443 Å
α = 90.00°, β = 109.42°, γ = 90.00°
Space group Cc (No. 9)
One atom of each set of equivalent atoms:
Ga (0.000, 0.093, 0.000) [4 per cell]
Ni (0.457, 0.082, 0.473) [4 per cell]
Ni (0.497, 0.240, 0.974) [4 per cell]
Se (0.345, 0.407, 0.094) [4 per cell]
S (0.351, 0.239, 0.614) [4 per cell]
S (0.378, 0.084, 0.113) [4 per cell]

Most intense lines, 10 to 80 degrees two-theta, by intensity:
| index | 2θ (°) | I/Imax |
| --- | --- | --- |
| 0 0 2 | 29.4 | 100.0 |
| 1 3 -3 | 49.0 | 41.3 |
| 3 3 -1 | 48.7 | 40.6 |
| 2 0 0 | 29.1 | 30.2 |
| 3 3 -3 | 58.0 | 15.1 |
| 3 3 1 | 57.7 | 13.3 |
| 2 0 -4 | 58.1 | 11.0 |
| 1 3 -5 | 79.4 | 8.9 |
| 0 6 2 | 58.2 | 8.3 |
| 2 6 2 | 71.6 | 7.2 |
| 2 2 -1 | 32.3 | 5.4 |
| 4 0 -4 | 71.4 | 4.1 |


Entry 12:
# Zr2GaNi2Sb
Computed X-ray diffraction stick pattern, Cu Kα. Input: a DFT-relaxed cell (GGA-PBE, OQMD).
No peak broadening, texture or thermal motion is included.

Structural model:
a = 6.039 Å, b = 6.039 Å, c = 12.068 Å
α = 90.00°, β = 90.00°, γ = 90.00°
Space group I-42d (No. 122)
One atom of each set of equivalent atoms:
Zr (0.000, 0.000, 0.243) [8 per cell]
Ga (0.000, 0.000, 0.000) [4 per cell]
Ni (0.249, 0.750, 0.125) [8 per cell]
Sb (0.000, 0.000, 0.500) [4 per cell]

Most intense lines, 10 to 80 degrees two-theta, by intensity:
| index | 2θ (°) | I/Imax |
| --- | --- | --- |
| 2 2 0 | 42.3 | 100.0 |
| 2 0 0 | 29.6 | 32.2 |
| 4 2 4 | 77.4 | 31.1 |
| 1 1 2 | 25.6 | 17.5 |
| 4 0 0 | 61.4 | 15.8 |
| 4 2 0 | 69.6 | 10.6 |
| 2 2 4 | 52.5 | 8.4 |
| 1 1 6 | 50.1 | 7.8 |
| 3 1 6 | 67.6 | 3.0 |
| 1 0 3 | 26.6 | 2.4 |
| 1 0 1 | 16.4 | 2.2 |
| 2 1 3 | 40.2 | 1.5 |


Entry 13:
# Sm3Ga10Ni
Computed X-ray diffraction stick pattern, Cu Kα. Input: a DFT-relaxed cell (GGA-PBE, OQMD).
No peak broadening, texture or thermal motion is included.

Structural model:
a = 4.234 Å, b = 4.275 Å, c = 15.294 Å
α = 90.00°, β = 90.00°, γ = 90.00°
Space group Pmmm (No. 47)
One atom of each set of equivalent atoms:
Sm (0.000, 0.000, 0.000) [1 per cell]
Sm (0.000, 0.500, 0.253) [2 per cell]
Ga (0.000, 0.000, 0.416) [2 per cell]
Ga (0.500, 0.000, 0.158) [2 per cell]
Ga (0.500, 0.000, 0.317) [2 per cell]
Ga (0.500, 0.500, 0.081) [2 per cell]
Ga (0.500, 0.500, 0.415) [2 per cell]
Ni (0.000, 0.500, 0.500) [1 per cell]

Most intense lines, 10 to 80 degrees two-theta, by intensity:
| index | 2θ (°) | I/Imax |
| --- | --- | --- |
| 1 1 2 | 32.0 | 100.0 |
| 1 0 4 | 31.5 | 43.1 |
| 0 2 0 | 42.3 | 31.1 |
| 2 0 0 | 42.7 | 30.2 |
| 0 1 6 | 41.2 | 29.6 |
| 2 2 0 | 61.7 | 19.8 |
| 1 2 4 | 53.7 | 18.9 |
| 2 1 6 | 60.9 | 18.6 |
| 1 1 5 | 42.1 | 17.8 |
| 1 0 8 | 52.5 | 13.7 |
| 0 1 7 | 46.7 | 12.4 |
| 1 1 4 | 38.1 | 11.1 |